Diffraction record for AcNdDy2Y5. The PXRD pattern is theoretical, not measured: it uses DFT lattice parameters and positions (GGA-PBE) and Cu Kα.
Kinematic intensities with the Lorentz-polarization factor, no thermal factor.

Structure:
```
AcNdDy2Y5
1.0
-4.495 4.495 7.666
4.495 -4.495 7.666
4.495 4.495 -7.666
Ac Nd Dy Y
2 2 4 10
Direct
0.250 0.750 0.500
0.750 0.250 0.500
0.250 0.250 0.000
0.750 0.750 0.000
0.112 0.612 0.724
0.388 0.112 0.500
0.612 0.888 0.500
0.888 0.388 0.276
0.000 0.000 0.000
0.080 0.165 0.500
0.165 0.665 0.085
0.335 0.420 0.500
0.420 0.920 0.085
0.500 0.500 0.000
0.580 0.080 0.915
0.665 0.580 0.500
0.835 0.335 0.915
0.920 0.835 0.500
```

Peak list (6 most intense, 10 to 80 degrees two-theta, most intense first)
2theta	I (rel.)
30.66	1000
28.08	503
28.24	418
41.88	317
36.51	242
51.32	216